# 1
Diffraction record for K2NbSeO6. The powder diffractogram is simulated, not measured: it uses a crystal structure in Alexandria, relaxed with PBE and Cu Kα (λ = 1.5418 Å).
Peak positions follow from Bragg's law for the DFT cell and can differ from measured ones.

Structure:
Unit cell a=5.632 b=5.632 c=5.632 alpha=60.00 beta=60.00 gamma=60.00
Fractional coordinates of all 10 atoms:
K 0.250 0.250 0.250
K 0.750 0.750 0.750
Nb 0.000 0.000 0.000
Se 0.500 0.500 0.500
O 0.254 0.254 0.746
O 0.254 0.746 0.254
O 0.254 0.746 0.746
O 0.746 0.254 0.254
O 0.746 0.254 0.746
O 0.746 0.746 0.254

The 6 most intense peaks (5 to 70 degrees two-theta), low angle first:
Position (°2θ)	I/Imax
22.32	40.6
31.78	100.0
45.56	43.0
51.30	16.5
56.61	37.1
66.40	24.2


# 2
Diffraction record for AgPd3Au3. The powder diffractogram is simulated, not measured: it uses a crystal structure in Alexandria, relaxed with PBE and Cu Kα (λ = 1.5418 Å).
Peak positions follow from Bragg's law for the DFT cell and can differ from measured ones.

Structure:
Unit cell a=7.580 b=7.580 c=4.749 alpha=90.00 beta=90.00 gamma=120.00
Fractional coordinates of all 14 atoms:
Ag 0.333 0.667 0.250
Ag 0.667 0.333 0.750
Pd 0.095 0.618 0.750
Pd 0.382 0.477 0.750
Pd 0.477 0.095 0.250
Pd 0.523 0.905 0.750
Pd 0.618 0.523 0.250
Pd 0.905 0.382 0.250
Au 0.044 0.802 0.250
Au 0.198 0.242 0.250
Au 0.242 0.044 0.750
Au 0.758 0.956 0.250
Au 0.802 0.758 0.750
Au 0.956 0.198 0.750

The 6 most intense peaks (5 to 70 degrees two-theta), low angle first:
Position (°2θ)	I/Imax
13.49	9.7
36.20	23.7
37.89	27.4
41.04	100.0
53.41	15.5
65.12	16.5


# 3
Diffraction record for Li4Cd5Hg. The powder diffractogram is simulated, not measured: it uses a crystal structure in Alexandria, relaxed with PBE and Cu Kα (λ = 1.5418 Å).
Peak positions follow from Bragg's law for the DFT cell and can differ from measured ones.

Structure:
Unit cell a=7.587 b=7.587 c=5.877 alpha=105.98 beta=105.98 gamma=36.31
Fractional coordinates of all 10 atoms:
Li 0.093 0.093 0.384
Li 0.306 0.306 0.207
Li 0.694 0.694 0.793
Li 0.907 0.907 0.616
Cd 0.112 0.112 0.900
Cd 0.288 0.288 0.690
Cd 0.500 0.500 0.000
Cd 0.712 0.712 0.310
Cd 0.888 0.888 0.100
Hg 0.500 0.500 0.500

The 6 most intense peaks (5 to 70 degrees two-theta), low angle first:
Position (°2θ)	I/Imax
26.09	49.8
26.60	100.0
37.47	92.8
37.74	87.4
37.88	44.4
38.07	45.2


# 4
Diffraction record for Rb3NaCd. The powder diffractogram is simulated, not measured: it uses a crystal structure in Alexandria, relaxed with PBE and Cu Kα (λ = 1.5418 Å).
Peak positions follow from Bragg's law for the DFT cell and can differ from measured ones.

Structure:
Unit cell a=15.078 b=15.078 c=5.465 alpha=90.00 beta=90.00 gamma=90.00
Fractional coordinates of all 20 atoms:
Rb 0.041 0.323 0.000
Rb 0.115 0.885 0.500
Rb 0.177 0.541 0.500
Rb 0.323 0.041 0.000
Rb 0.385 0.385 0.000
Rb 0.459 0.823 0.500
Rb 0.541 0.177 0.500
Rb 0.615 0.615 0.000
Rb 0.677 0.959 0.000
Rb 0.823 0.459 0.500
Rb 0.885 0.115 0.500
Rb 0.959 0.677 0.000
Na 0.168 0.168 0.500
Na 0.332 0.668 0.000
Na 0.668 0.332 0.000
Na 0.832 0.832 0.500
Cd 0.071 0.071 0.000
Cd 0.429 0.571 0.500
Cd 0.571 0.429 0.500
Cd 0.929 0.929 0.000

The 6 most intense peaks (5 to 70 degrees two-theta), low angle first:
Position (°2θ)	I/Imax
8.29	46.8
11.74	36.3
24.06	100.0
24.78	63.9
30.22	31.8
45.20	29.8